[1]
Computed X-ray powder pattern of KMgAlWS6 for copper Kα, from the GGA-PBE geometry in OQMD.

Largest 10 diffraction maxima, in order of rising 2θ, 10° ≤ 2θ ≤ 80°:
- 2θ = 11.30°, intensity 100, hkl 0 0 3
- 2θ = 16.99°, intensity 51, hkl 1 0 1
- 2θ = 18.21°, intensity 24, hkl 0 1 2
- 2θ = 22.47°, intensity 18, hkl 1 0 4
- 2θ = 25.22°, intensity 22, hkl 0 1 5
- 2θ = 28.89°, intensity 13, hkl 1 1 0
- 2θ = 31.11°, intensity 29, hkl 2 -1 3
- 2θ = 37.06°, intensity 46, hkl 2 -1 6
- 2θ = 45.49°, intensity 17, hkl 1 1 9
- 2θ = 51.19°, intensity 16, hkl 3 0 0

Crystal structure
```
data_KMgAlWS6
_chemical_formula_sum 'K3 Mg3 Al3 W3 S18'
_symmetry_space_group_name_H-M 'R 3'
_symmetry_Int_Tables_number 146
_symmetry_space_group_name_Hall 'R 3'
_cell_length_a 6.1815
_cell_length_b 6.1815
_cell_length_c 23.4890
_cell_angle_alpha 90.00
_cell_angle_beta 90.00
_cell_angle_gamma 120.00
loop_
_atom_site_label
_atom_site_type_symbol
_atom_site_fract_x
_atom_site_fract_y
_atom_site_fract_z
_atom_site_occupancy
K1 K 0.0000 0.0000 0.0000 1
Mg1 Mg 0.0000 0.0000 0.4857 1
Al1 Al 0.0000 0.0000 0.8174 1
W1 W 0.0000 0.0000 0.1811 1
S1 S 0.0078 0.3527 0.5563 1
S2 S 0.0386 0.6875 0.7735 1
```


[2]
Computed X-ray powder pattern of Cu15Si4 for copper Kα, from the GGA-PBE geometry in OQMD.

Largest 10 diffraction maxima, in order of rising 2θ, 10° ≤ 2θ ≤ 80°:
- 2θ = 26.02°, intensity 4, hkl 2 2 0
- 2θ = 29.16°, intensity 3, hkl 3 1 0
- 2θ = 34.65°, intensity 21, hkl 3 2 1
- 2θ = 43.84°, intensity 100, hkl 3 3 2
- 2θ = 45.90°, intensity 14, hkl 4 2 2
- 2θ = 47.89°, intensity 57, hkl 5 1 0
- 2θ = 58.77°, intensity 8, hkl 6 1 1
- 2θ = 70.06°, intensity 11, hkl 6 4 0
- 2θ = 71.60°, intensity 9, hkl 5 5 2
- 2θ = 77.62°, intensity 18, hkl 6 5 1

Crystal structure
```
data_Cu15Si4
_chemical_formula_sum 'Cu60 Si16'
_symmetry_space_group_name_H-M 'I -4 3 d'
_symmetry_Int_Tables_number 220
_symmetry_space_group_name_Hall 'I -4bd 2c 3'
_cell_length_a 9.6852
_cell_length_b 9.6852
_cell_length_c 9.6852
_cell_angle_alpha 90.00
_cell_angle_beta 90.00
_cell_angle_gamma 90.00
loop_
_atom_site_label
_atom_site_type_symbol
_atom_site_fract_x
_atom_site_fract_y
_atom_site_fract_z
_atom_site_occupancy
Cu1 Cu 0.0000 0.2500 0.3750 1
Cu2 Cu 0.0389 0.3880 0.1627 1
Si1 Si 0.0446 0.4554 0.5446 1
```


[3]
Computed X-ray powder pattern of Pr2Nd2I3Br2N for copper Kα, from the GGA-PBE geometry in OQMD.

Largest 10 diffraction maxima, in order of rising 2θ, 10° ≤ 2θ ≤ 80°:
- 2θ = 10.40°, intensity 37, hkl 0 0 1
- 2θ = 27.40°, intensity 17, hkl 3 1 -1
- 2θ = 29.13°, intensity 44, hkl 6 0 0
- 2θ = 29.85°, intensity 18, hkl 3 1 1
- 2θ = 30.32°, intensity 100, hkl 1 1 -2
- 2θ = 33.05°, intensity 36, hkl 5 1 -1
- 2θ = 33.19°, intensity 16, hkl 4 0 -3
- 2θ = 42.45°, intensity 27, hkl 5 1 2
- 2θ = 42.64°, intensity 25, hkl 7 1 -2
- 2θ = 45.38°, intensity 19, hkl 0 2 0

Crystal structure
```
data_Pr2Nd2I3Br2N
_chemical_formula_sum 'Pr4 Nd4 I6 Br4 N2'
_symmetry_space_group_name_H-M 'C 1 2/m 1'
_symmetry_Int_Tables_number 12
_cell_length_a 18.8793
_cell_length_b 3.9973
_cell_length_c 8.7274
_cell_angle_alpha 90.00
_cell_angle_beta 103.00
_cell_angle_gamma 90.00
loop_
_symmetry_equiv_pos_as_xyz
'x,y,z'
'-x,-y,-z'
'-x,y,-z'
'x,-y,z'
'x+1/2,y+1/2,z'
'-x+1/2,-y+1/2,-z'
'-x+1/2,y+1/2,-z'
'x+1/2,-y+1/2,z'
loop_
_atom_site_label
_atom_site_type_symbol
_atom_site_fract_x
_atom_site_fract_y
_atom_site_fract_z
_atom_site_occupancy
Pr1 Pr 0.1347 0.0000 0.0703 1
Nd1 Nd 0.0005 0.5000 0.8069 1
I1 I 0.0000 0.0000 0.5000 1
I2 I 0.1711 0.5000 0.8111 1
Br1 Br 0.1585 0.5000 0.3327 1
N1 N 0.0000 0.0000 0.0000 1
```


[4]
Computed X-ray powder pattern of DyPt2O4 for copper Kα, from the GGA-PBE geometry in OQMD.

Largest 10 diffraction maxima, in order of rising 2θ, 10° ≤ 2θ ≤ 80°:
- 2θ = 16.66°, intensity 13, hkl 1 1 1
- 2θ = 27.37°, intensity 22, hkl 2 2 0
- 2θ = 32.22°, intensity 100, hkl 3 1 1
- 2θ = 33.69°, intensity 33, hkl 2 2 2
- 2θ = 39.10°, intensity 13, hkl 4 0 0
- 2θ = 51.53°, intensity 38, hkl 5 1 1
- 2θ = 56.49°, intensity 40, hkl 4 4 0
- 2θ = 66.54°, intensity 13, hkl 5 3 3
- 2θ = 67.41°, intensity 16, hkl 6 2 2
- 2θ = 79.97°, intensity 22, hkl 5 5 3

Crystal structure
Cell lengths 9.2153, 9.2153, 9.2153 Å; angles 90.00, 90.00, 90.00 degrees
Space group Fd-3m (No. 227, origin choice 2)
Asymmetric unit:
Dy1 0.1250 0.1250 0.1250 x8
Pt1 0.0000 0.0000 0.5000 x16
O1 0.0126 0.0126 0.7374 x32


[5]
Computed X-ray powder pattern of PrNdSi2 for copper Kα, from the GGA-PBE geometry in OQMD.

Largest 10 diffraction maxima, in order of rising 2θ, 10° ≤ 2θ ≤ 80°:
- 2θ = 26.21°, intensity 31, hkl 0 2 1
- 2θ = 27.06°, intensity 38, hkl 1 0 1
- 2θ = 29.16°, intensity 100, hkl 1 1 1
- 2θ = 31.25°, intensity 73, hkl 1 2 0
- 2θ = 31.97°, intensity 82, hkl 0 1 2
- 2θ = 34.78°, intensity 44, hkl 1 2 1
- 2θ = 35.84°, intensity 49, hkl 0 3 1
- 2θ = 39.42°, intensity 40, hkl 1 1 2
- 2θ = 50.65°, intensity 34, hkl 1 3 2
- 2θ = 56.99°, intensity 32, hkl 2 1 2

Crystal structure
```
data_PrNdSi2
_chemical_formula_sum 'Pr2 Nd2 Si4'
_symmetry_space_group_name_H-M 'P m n 21'
_symmetry_Int_Tables_number 31
_cell_length_a 3.9581
_cell_length_b 8.2878
_cell_length_c 5.9485
_cell_angle_alpha 90.00
_cell_angle_beta 90.00
_cell_angle_gamma 90.00
loop_
_symmetry_equiv_pos_as_xyz
'x,y,z'
'-x+1/2,-y,z+1/2'
'-x,y,z'
'x+1/2,-y,z+1/2'
loop_
_atom_site_label
_atom_site_type_symbol
_atom_site_fract_x
_atom_site_fract_y
_atom_site_fract_z
_atom_site_occupancy
Pr1 Pr 0.0000 0.0707 0.0000 1
Nd1 Nd 0.0000 0.5701 0.7283 1
Si1 Si 0.0000 0.2167 0.4927 1
Si2 Si 0.0000 0.7132 0.2346 1
```


Which formula does entry 1 have? KMgAlWS6